(1)
# Nd4Tl2Co
Simulated powder X-ray diffraction pattern, Cu Ka. Input: the PBE geometry in Alexandria.
Peak positions follow from Bragg's law for the DFT cell and can differ from measured ones.

Peak list (8 most intense, 5° ≤ 2θ ≤ 70°, in order of rising 2θ)
d/Å	I (rel.)	index
3.296	60.0	1 1 0
2.954	49.7	1 1 1
2.938	45.5	2 0 -2
2.822	100.0	0 0 3
2.768	26.2	1 1 -2
2.285	33.2	1 1 -3
1.603	26.5	2 2 -2
1.583	35.7	0 2 3

Cell and atoms:
Unit cell a=6.694 b=3.824 c=8.722 alpha=90.00 beta=103.75 gamma=90.00
Space group P2/m (No. 10)
One atom of each set of equivalent atoms:
Nd: 0.140 0.000 0.334
Nd: 0.258 0.500 0.986
Tl: 0.398 0.500 0.651
Co: 0.000 0.000 0.000

=====

(2)
# PmThSiAg
Simulated powder X-ray diffraction pattern, Cu Ka. Input: the PBE geometry in Alexandria.
Peak positions follow from Bragg's law for the DFT cell and can differ from measured ones.

Peak list (8 most intense, 5° ≤ 2θ ≤ 70°, in order of rising 2θ)
d/Å	I (rel.)	index
4.241	11.0	1 1 1
3.673	23.9	2 0 0
2.597	100.0	2 2 0
2.215	6.3	3 1 1
2.121	7.6	2 2 2
1.837	17.9	4 0 0
1.643	10.8	4 2 0
1.500	36.9	4 2 2

Cell and atoms:
Unit cell a=7.346 b=7.346 c=7.346 alpha=90.00 beta=90.00 gamma=90.00
Space group F-43m (No. 216)
One atom of each set of equivalent atoms:
Pm: 0.000 0.000 0.000
Th: 0.000 0.000 0.500
Si: 0.250 0.250 0.250
Ag: 0.250 0.250 0.750

=====

(3)
# CePu5Ir3
Simulated powder X-ray diffraction pattern, Cu Ka. Input: the PBE geometry in Alexandria.
Peak positions follow from Bragg's law for the DFT cell and can differ from measured ones.

Peak list (8 most intense, 5° ≤ 2θ ≤ 70°, in order of rising 2θ)
d/Å	I (rel.)	index
4.076	59.8	0 2 0
3.090	100.0	2 2 1
2.722	54.0	4 0 1
2.573	44.2	1 3 -1
2.539	73.0	3 1 -3
2.380	41.2	0 0 4
2.283	43.6	1 3 2
2.240	37.9	3 3 0

Cell and atoms:
Unit cell a=11.995 b=8.152 c=9.621 alpha=90.00 beta=98.35 gamma=90.00
Space group C2/m (No. 12)
One atom of each set of equivalent atoms:
Ce: 0.152 0.000 0.311
Pu: 0.000 0.323 0.000
Pu: 0.128 0.500 0.461
Pu: 0.132 0.184 0.716
Pu: 0.233 0.000 0.042
Ir: 0.000 0.000 0.000
Ir: 0.000 0.000 0.500
Ir: 0.072 0.500 0.748
Ir: 0.166 0.500 0.194

=====

(4)
# CaSm4H4O8
Simulated powder X-ray diffraction pattern, Cu Ka. Input: the PBE geometry in Alexandria.
Peak positions follow from Bragg's law for the DFT cell and can differ from measured ones.

Peak list (8 most intense, 5° ≤ 2θ ≤ 70°, in order of rising 2θ)
d/Å	I (rel.)	index
5.701	55.7	0 0 2
5.118	70.7	1 0 1
3.293	70.8	1 0 -3
3.109	50.8	1 0 3
3.054	65.0	0 1 2
3.003	86.9	1 1 -1
2.954	100.0	2 0 0
1.807	45.9	0 2 0

Cell and atoms:
Unit cell a=5.924 b=3.616 c=11.425 alpha=90.00 beta=93.63 gamma=90.00
Space group Pm (No. 6)
One atom of each set of equivalent atoms:
Ca: 0.000 0.000 0.000
Sm: 0.028 0.000 0.636
Sm: 0.047 0.500 0.286
Sm: 0.487 0.000 0.125
Sm: 0.584 0.500 0.801
H: 0.244 0.000 0.844
H: 0.268 0.000 0.421
H: 0.640 0.500 0.538
H: 0.804 0.500 0.088
O: 0.102 0.000 0.434
O: 0.215 0.500 0.100
O: 0.246 0.500 0.692
O: 0.374 0.000 0.901
O: 0.704 0.500 0.015
O: 0.748 0.500 0.607
O: 0.834 0.000 0.810
O: 0.861 0.000 0.190

=====

(5)
# Cu3As
Simulated powder X-ray diffraction pattern, Cu Ka. Input: the PBE geometry in Alexandria.
Peak positions follow from Bragg's law for the DFT cell and can differ from measured ones.

Peak list (8 most intense, 5° ≤ 2θ ≤ 70°, in order of rising 2θ)
d/Å	I (rel.)	index
3.950	19.7	2 1 1
3.060	22.4	3 1 0
2.586	17.4	3 2 1
2.164	38.1	4 2 0
2.063	100.0	3 3 2
1.975	42.3	4 2 2
1.898	83.1	5 1 0
1.493	7.3	5 4 1

Cell and atoms:
Unit cell a=9.676 b=9.676 c=9.676 alpha=90.00 beta=90.00 gamma=90.00
Space group I-43d (No. 220)
One atom of each set of equivalent atoms:
Cu: 0.030 0.382 0.185
As: 0.032 0.468 0.532

=====

(6)
# Ba2SmCu2O6
Simulated powder X-ray diffraction pattern, Cu Ka. Input: the PBE geometry in Alexandria.
Peak positions follow from Bragg's law for the DFT cell and can differ from measured ones.

Peak list (8 most intense, 5° ≤ 2θ ≤ 70°, in order of rising 2θ)
d/Å	I (rel.)	index
3.413	23.6	1 0 4
3.039	100.0	1 1 0
2.964	82.8	0 1 5
2.270	20.0	0 2 4
2.122	35.4	2 0 5
1.755	20.1	3 0 0
1.740	36.3	1 2 5
1.667	21.3	1 1 9

Cell and atoms:
Unit cell a=6.0778 b=6.0778 c=17.9361 alpha=90.00 beta=90.00 gamma=120.00
Space group R-3m (No. 166, hexagonal axes)
One atom of each set of equivalent atoms:
Ba: 0.0000 0.0000 0.2122
Sm: 0.0000 0.0000 0.0000
Cu: 0.0000 0.0000 0.4229
O: 0.0130 0.5065 0.7553